For Na2ThP2O8, a cell relaxed with GGA-PBE gives the computed X-ray diffraction stick pattern in this record (copper Kα).

Cell and atoms:
Cell lengths 7.121, 21.936, 9.268 Å; angles 90.00, 111.18, 90.00 degrees
Space group C2/c (No. 15)
Symmetry-distinct sites (fractional):
Na  0.102  0.190  0.455 x8
Na  0.125  0.437  0.493 x8
Th  0.000  0.072  0.750 x4
Th  0.000  0.296  0.750 x4
P  0.182  0.311  0.148 x8
P  0.184  0.066  0.120 x8
O  0.019  0.311  0.494 x8
O  0.036  0.082  0.486 x8
O  0.137  0.196  0.910 x8
O  0.196  0.012  0.228 x8
O  0.197  0.253  0.250 x8
O  0.209  0.370  0.244 x8
O  0.209  0.450  0.995 x8
O  0.221  0.378  0.777 x8

Main lines, by angle (15° ≤ 2θ ≤ 90°):
hkl	Position (°2θ)	Rel. int.
1 3 0	18.05	52.8
0 4 1	19.17	69.3
1 1 1	20.00	36.8
0 0 2	20.55	59.3
1 5 0	24.32	71.6
1 1 -3	29.28	57.9
2 4 -1	29.93	100.0
1 3 2	31.00	37.3
1 5 2	35.15	39.4
0 4 3	35.19	44.3

***

For Li3TiSiO5, a cell relaxed with GGA-PBE gives the computed X-ray diffraction stick pattern in this record (copper Kα).

Cell and atoms:
Cell lengths 5.451, 15.852, 5.011 Å; angles 90.00, 90.00, 90.00 degrees
Space group Pna2_1 (No. 33)
Symmetry-distinct sites (fractional):
Li  0.164  0.007  0.000 x4
Li  0.167  0.590  0.997 x4
Li  0.174  0.194  0.997 x4
Ti  0.179  0.802  0.994 x4
Si  0.161  0.403  0.004 x4
O  0.121  0.602  0.607 x4
O  0.157  0.200  0.597 x4
O  0.172  0.399  0.669 x4
O  0.185  0.984  0.609 x4
O  0.191  0.813  0.600 x4

Main lines, by angle (15° ≤ 2θ ≤ 90°):
hkl	Position (°2θ)	Rel. int.
1 2 0	19.77	100.0
0 3 1	24.48	78.5
1 2 1	26.65	28.1
1 5 0	32.68	70.7
2 0 0	32.86	39.8
0 0 2	35.84	60.8
1 5 1	37.40	41.1
2 0 1	37.59	24.8
3 5 0	58.55	37.8
1 5 3	65.44	31.2

***

For YSeF, a cell relaxed with GGA-PBE gives the computed X-ray diffraction stick pattern in this record (copper Kα).

Cell and atoms:
Cell lengths 10.027, 4.130, 13.186 Å; angles 90.00, 104.96, 90.00 degrees
Space group P2_1/m (No. 11)
Symmetry-distinct sites (fractional):
Y  0.037  0.250  0.378 x2
Y  0.117  0.750  0.137 x2
Y  0.378  0.250  0.886 x2
Y  0.455  0.750  0.626 x2
Se  0.160  0.250  0.988 x2
Se  0.245  0.750  0.736 x2
Se  0.329  0.250  0.482 x2
Se  0.414  0.750  0.231 x2
F  0.014  0.750  0.461 x2
F  0.063  0.750  0.295 x2
F  0.095  0.250  0.206 x2
F  0.445  0.750  0.958 x2

Main lines, by angle (15° ≤ 2θ ≤ 90°):
hkl	Position (°2θ)	Rel. int.
2 0 -3	24.04	32.5
0 1 2	25.71	100.0
1 1 -2	26.07	34.0
1 1 2	28.55	45.1
3 0 -3	30.14	30.0
3 0 1	30.26	32.1
2 1 3	38.38	56.8
2 1 -5	41.73	64.6
4 1 -1	42.25	47.2
0 2 0	43.84	46.6

***

For NbOF3, a cell relaxed with GGA-PBE gives the computed X-ray diffraction stick pattern in this record (copper Kα).

Cell and atoms:
Cell lengths 6.1900, 6.1900, 11.7217 Å; angles 90.00, 90.00, 120.00 degrees
Space group R3c (No. 161, hexagonal axes)
Symmetry-distinct sites (fractional):
Nb  0.0000  0.0000  0.0000 x6
O  0.0000  0.0000  0.1468 x6
F  0.1645  0.3705  0.0156 x18

Main lines, by angle (15° ≤ 2θ ≤ 90°):
hkl	Position (°2θ)	Rel. int.
0 1 2	22.48	100.0
1 1 0	28.85	50.1
1 0 4	34.89	19.1
2 0 2	36.88	17.9
0 2 4	45.88	14.0
0 0 6	46.48	11.5
1 2 2	47.48	36.1
2 1 4	55.11	17.6
1 1 6	55.63	15.1
2 2 0	59.76	14.8

***

For PuNi4, a cell relaxed with GGA-PBE gives the computed X-ray diffraction stick pattern in this record (copper Kα).

Cell and atoms:
Cell lengths 4.877, 8.437, 10.130 Å; angles 90.00, 99.28, 90.00 degrees
Space group C2/m (No. 12)
Symmetry-distinct sites (fractional):
Pu  0.000  0.000  0.000 x2
Pu  0.126  0.000  0.356 x4
Ni  0.000  0.335  0.000 x4
Ni  0.069  0.500  0.201 x4
Ni  0.135  0.329  0.406 x8
Ni  0.181  0.249  0.801 x8

Main lines, by angle (15° ≤ 2θ ≤ 90°):
hkl	Position (°2θ)	Rel. int.
1 1 0	21.25	26.9
1 1 2	29.72	26.1
1 1 -3	31.91	47.0
0 2 3	34.29	46.1
2 0 -1	37.01	71.0
1 3 2	42.68	76.7
0 4 0	42.91	58.6
2 0 2	44.33	100.0
0 0 5	45.36	27.7
3 3 -4	72.98	30.4

***

For InHg7S6Cl5, a cell relaxed with GGA-PBE gives the computed X-ray diffraction stick pattern in this record (copper Kα).

Cell and atoms:
Cell lengths 7.589, 10.777, 14.088 Å; angles 109.70, 105.46, 92.85 degrees
Space group P-1 (No. 2)
Symmetry-distinct sites (fractional):
In  0.114  0.361  0.177 x2
Hg  0.000  0.500  0.500 x1
Hg  0.017  0.886  0.160 x2
Hg  0.216  0.862  0.440 x2
Hg  0.281  0.619  0.065 x2
Hg  0.308  0.203  0.438 x2
Hg  0.373  0.457  0.727 x2
Hg  0.376  0.956  0.727 x2
Hg  0.500  0.000  0.000 x1
S  0.045  0.995  0.350 x2
S  0.128  0.784  0.010 x2
S  0.135  0.335  0.563 x2
S  0.363  0.119  0.890 x2
S  0.372  0.771  0.571 x2
S  0.394  0.431  0.105 x2
Cl  0.024  0.427  0.827 x2
Cl  0.138  0.705  0.753 x2
Cl  0.249  0.143  0.164 x2
Cl  0.319  0.470  0.363 x2
Cl  0.489  0.823  0.332 x2

Main lines, by angle (15° ≤ 2θ ≤ 90°):
hkl	Position (°2θ)	Rel. int.
-1 1 2	19.48	27.3
1 2 -1	20.95	100.0
2 0 -1	23.47	27.5
-2 1 1	24.68	32.0
1 0 -4	27.19	29.5
0 2 -4	27.36	40.0
1 0 3	27.52	77.0
1 -3 2	28.18	38.5
-1 1 4	31.17	28.7
-3 2 1	38.65	24.0